Structure and simulated X-ray diffraction stick pattern of ErCuSnSe3 (a DFT-relaxed cell (PBE, OQMD); copper Kα).
Peak positions follow from Bragg's law for the DFT cell and can differ from measured ones.

The 10 most intense peaks (10° ≤ 2θ ≤ 90°), low angle first:
2θ/deg	Rel. int.
12.89	51
28.34	30
32.25	100
32.79	57
35.74	62
36.02	34
36.62	30
40.86	24
45.47	30
45.57	40

Crystal structure
Unit cell a=7.807 b=3.981 c=9.825 alpha=90.00 beta=105.96 gamma=90.00
Space group P2_1/m (No. 11)
Inequivalent atoms, fractional coordinates:
Er 0.188 0.250 0.162 (multiplicity 2)
Cu 0.423 0.750 0.413 (multiplicity 2)
Sn 0.263 0.750 0.698 (multiplicity 2)
Se 0.077 0.250 0.859 (multiplicity 2)
Se 0.243 0.250 0.459 (multiplicity 2)
Se 0.447 0.750 0.167 (multiplicity 2)